# Sm2Tc2BC2
Calculated XRD peak list, Cu Kα (weighted mean of Kα1 and Kα2). Input: DFT lattice parameters and positions (GGA-PBE).
Kinematic intensities with the Lorentz-polarization factor, no thermal factor.

The 10 most intense peaks (5 to 70 degrees two-theta), in order of rising 2θ:
- 2θ 29.61, d = 3.017 Å, I 37
- 2θ 30.19, d = 2.960 Å, I 25
- 2θ 30.45, d = 2.936 Å, I 31
- 2θ 32.86, d = 2.726 Å, I 36
- 2θ 33.88, d = 2.646 Å, I 32
- 2θ 34.06, d = 2.632 Å, I 100
- 2θ 34.89, d = 2.572 Å, I 86
- 2θ 35.52, d = 2.527 Å, I 22
- 2θ 49.54, d = 1.840 Å, I 27
- 2θ 53.95, d = 1.700 Å, I 27

Cell and atoms:
```
data_Sm2Tc2BC2
_chemical_formula_sum 'Sm2 Tc2 B1 C2'
_space_group_name_H-M_alt 'P 1'
_space_group_IT_number 1
_cell_length_a 6.295
_cell_length_b 6.295
_cell_length_c 5.880
_cell_angle_alpha 114.80
_cell_angle_beta 114.80
_cell_angle_gamma 31.60
loop_
_space_group_symop_operation_xyz
'x,y,z'
loop_
_atom_site_label
_atom_site_type_symbol
_atom_site_fract_x
_atom_site_fract_y
_atom_site_fract_z
Sm1 Sm 0.111 0.111 0.313
Sm2 Sm 0.889 0.889 0.687
Tc1 Tc 0.334 0.334 0.177
Tc2 Tc 0.666 0.666 0.823
B1 B 0.500 0.500 0.500
C1 C 0.250 0.250 0.774
C2 C 0.750 0.750 0.226
```